For LiTbHoOs, the PBE geometry in Alexandria gives the calculated X-ray diffraction stick pattern in this record (Cu Kα, 1.54184 Å).
Peak positions follow from Bragg's law for the DFT cell and can differ from measured ones.

Cell and atoms:
a = 4.8944 Å, b = 4.8944 Å, c = 4.8944 Å
α = 60.00°, β = 60.00°, γ = 60.00°
Positions (direct):
1 Li 0.0000 0.0000 0.0000
2 Tb 0.7500 0.7500 0.7500
3 Ho 0.2500 0.2500 0.2500
4 Os 0.5000 0.5000 0.5000

Main lines, by intensity (10 to 80 degrees two-theta):
two_theta  Rel. int.
36.7  100
66.1  36
22.2  30
52.9  18
43.4  16
78.1  11
25.7  8
58.1  7
70.7  5
59.7  3